Starting from a crystal structure in the Materials Project, relaxed with GGA-PBE, the XRD peak list of CdP2H4O4 was simulated for λ = 1.5418 Å (Cu Kα).
Peak positions follow from Bragg's law for the DFT cell and can differ from measured ones.

Largest 6 diffraction maxima, sorted by position, 2θ = 5–70°:
2theta  I (rel.)  (hkl)
11.37  100.0  2 0 0
21.07  18.4  1 1 -1
23.46  22.6  3 1 0
25.42  51.3  3 1 -1
27.38  28.6  0 0 2
28.91  17.5  3 1 1

Crystal structure
```
data_CdP2H4O4
_chemical_formula_sum 'Cd4 P8 H16 O16'
_cell_length_a 15.8845
_cell_length_b 5.5528
_cell_length_c 6.6448
_cell_angle_alpha 90.00
_cell_angle_beta 101.40
_cell_angle_gamma 90.00
_symmetry_space_group_name_H-M 'C 1 2/c 1'
_symmetry_Int_Tables_number 15
loop_
_symmetry_equiv_pos_as_xyz
'x,y,z'
'-x,-y,-z'
'-x,y,-z+1/2'
'x,-y,z+1/2'
'x+1/2,y+1/2,z'
'-x+1/2,-y+1/2,-z'
'-x+1/2,y+1/2,-z+1/2'
'x+1/2,-y+1/2,z+1/2'
loop_
_atom_site_label
_atom_site_type_symbol
_atom_site_fract_x
_atom_site_fract_y
_atom_site_fract_z
Cd1 Cd 0.0000 0.1716 0.2500
P1 P 0.1364 0.3169 0.7095
H1 H 0.1698 0.2196 0.9066
H2 H 0.2069 0.3101 0.6080
O1 O 0.0683 0.1387 0.6007
O2 O 0.1110 0.4223 0.2292
```

Starting from a crystal structure in the Materials Project, relaxed with GGA-PBE, the XRD peak list of CdP2H8O10 was simulated for λ = 1.5418 Å (Cu Kα).
Peak positions follow from Bragg's law for the DFT cell and can differ from measured ones.

Largest 6 diffraction maxima, sorted by position, 2θ = 5–70°:
2theta  I (rel.)  (hkl)
14.56  100.0  0 1 1
18.35  76.2  1 1 -1
19.50  84.6  1 0 0
26.94  93.3  1 2 -2
28.05  45.7  0 3 1
29.34  65.0  1 1 1

Crystal structure
```
data_CdP2H8O10
_chemical_formula_sum 'Cd2 P4 H16 O20'
_cell_length_a 5.4527
_cell_length_b 10.5543
_cell_length_c 8.9213
_cell_angle_alpha 90.00
_cell_angle_beta 123.42
_cell_angle_gamma 90.00
_symmetry_space_group_name_H-M 'P 1 21/c 1'
_symmetry_Int_Tables_number 14
loop_
_symmetry_equiv_pos_as_xyz
'x,y,z'
'-x,-y,-z'
'-x,y+1/2,-z+1/2'
'x,-y+1/2,z+1/2'
loop_
_atom_site_label
_atom_site_type_symbol
_atom_site_fract_x
_atom_site_fract_y
_atom_site_fract_z
Cd1 Cd 0.0000 0.0000 0.0000
P1 P 0.0838 0.2175 0.3275
H1 H 0.1252 0.7220 0.0207
H2 H 0.3891 0.0824 0.8161
H3 H 0.4013 0.5425 0.2232
H4 H 0.4277 0.1110 0.5706
O1 O 0.0392 0.6795 0.3666
O2 O 0.1453 0.1406 0.8614
O3 O 0.1464 0.6731 0.1260
O4 O 0.3749 0.1379 0.4489
O5 O 0.4980 0.5399 0.7292
```

Starting from a crystal structure in the Materials Project, relaxed with GGA-PBE, the XRD peak list of CdPHO3 was simulated for λ = 1.5418 Å (Cu Kα).
Peak positions follow from Bragg's law for the DFT cell and can differ from measured ones.

Largest 6 diffraction maxima, sorted by position, 2θ = 5–70°:
2theta  I (rel.)  (hkl)
12.89  99.7  1 1 0
22.32  58.0  2 1 1
28.77  90.8  3 -2 2
28.99  100.0  1 3 1
34.54  51.0  1 4 0
39.12  64.2  5 -3 2

Crystal structure
```
data_CdPHO3
_chemical_formula_sum 'Cd18 P18 H18 O54'
_cell_length_a 13.7396
_cell_length_b 13.7396
_cell_length_c 8.5745
_cell_angle_alpha 90.00
_cell_angle_beta 90.00
_cell_angle_gamma 120.00
_symmetry_space_group_name_H-M 'R -3'
_symmetry_Int_Tables_number 148
_symmetry_space_group_name_Hall '-R 3'
loop_
_atom_site_label
_atom_site_type_symbol
_atom_site_fract_x
_atom_site_fract_y
_atom_site_fract_z
Cd1 Cd 0.0489 0.2714 0.0936
P1 P 0.0218 0.1880 0.7148
H1 H 0.0210 0.9099 0.3776
O1 O 0.0131 0.7333 0.3631
O2 O 0.0320 0.8516 0.1220
O3 O 0.0897 0.8492 0.7210
```